Entry 1:
Starting from DFT lattice parameters and positions (GGA-PBE), the X-ray diffraction stick pattern of LiPrThAu was computed for Cu Kα (weighted mean of Kα1 and Kα2).
Lines closer than 0.1° are merged.

a b c (Å): 5.276 5.276 5.276
angles (deg): 60.00 60.00 60.00
Fractional coordinates of all 4 atoms:
Li1 0.000 0.000 0.000
Pr1 0.750 0.750 0.750
Th1 0.250 0.250 0.250
Au1 0.500 0.500 0.500

Largest 10 diffraction maxima, by intensity, 2θ from 15° to 90°:
- 33.98°, 2.638 Å, I 100
- 60.81°, 1.523 Å, I 38
- 20.62°, 4.308 Å, I 30
- 48.82°, 1.865 Å, I 18
- 40.08°, 2.250 Å, I 18
- 81.60°, 1.180 Å, I 17
- 71.53°, 1.319 Å, I 12
- 23.85°, 3.731 Å, I 10
- 53.53°, 1.712 Å, I 8
- 64.94°, 1.436 Å, I 6

***

Entry 2:
Starting from DFT lattice parameters and positions (GGA-PBE), the X-ray diffraction stick pattern of Ac2Ge3Au2 was computed for Cu Kα (weighted mean of Kα1 and Kα2).
Lines closer than 0.1° are merged.

a b c (Å): 10.163 10.163 7.309
angles (deg): 90.00 90.00 153.08
Fractional coordinates of all 14 atoms:
Ac1 0.053 0.947 0.750
Ac2 0.159 0.841 0.250
Ac3 0.841 0.159 0.750
Ac4 0.947 0.053 0.250
Ge1 0.222 0.778 0.750
Ge2 0.442 0.558 0.573
Ge3 0.442 0.558 0.927
Ge4 0.558 0.442 0.073
Ge5 0.558 0.442 0.427
Ge6 0.778 0.222 0.250
Au1 0.315 0.685 0.056
Au2 0.315 0.685 0.444
Au3 0.685 0.315 0.556
Au4 0.685 0.315 0.944

Largest 10 diffraction maxima, by intensity, 2θ from 15° to 90°:
- 31.94°, 2.802 Å, I 100
- 31.25°, 2.862 Å, I 86
- 38.03°, 2.366 Å, I 51
- 41.32°, 2.185 Å, I 46
- 57.40°, 1.605 Å, I 36
- 33.85°, 2.648 Å, I 34
- 36.36°, 2.471 Å, I 27
- 52.30°, 1.749 Å, I 25
- 29.75°, 3.004 Å, I 21
- 38.57°, 2.334 Å, I 20

***

Entry 3:
Starting from DFT lattice parameters and positions (GGA-PBE), the X-ray diffraction stick pattern of BaMg2In was computed for Cu Kα (weighted mean of Kα1 and Kα2).
Lines closer than 0.1° are merged.

a b c (Å): 3.615 4.918 7.347
angles (deg): 90.00 104.13 90.00
Fractional coordinates of all 4 atoms:
Ba1 0.000 0.000 0.000
Mg1 0.317 0.500 0.634
Mg2 0.740 0.000 0.489
In1 0.628 0.500 0.260

Largest 10 diffraction maxima, by intensity, 2θ from 15° to 90°:
- 31.02°, 2.883 Å, I 100
- 31.34°, 2.854 Å, I 90
- 21.96°, 4.047 Å, I 56
- 48.72°, 1.869 Å, I 33
- 31.12°, 2.874 Å, I 29
- 36.54°, 2.459 Å, I 26
- 55.03°, 1.669 Å, I 20
- 60.43°, 1.532 Å, I 20
- 40.30°, 2.238 Å, I 15
- 36.17°, 2.483 Å, I 15

***

Entry 4:
Starting from DFT lattice parameters and positions (GGA-PBE), the X-ray diffraction stick pattern of NdTmO was computed for Cu Kα (weighted mean of Kα1 and Kα2).
Lines closer than 0.1° are merged.

a b c (Å): 6.362 6.362 6.362
angles (deg): 135.13 135.13 65.33
Fractional coordinates of all 6 atoms:
Nd1 0.237 0.237 0.000
Nd2 0.763 0.763 0.000
Tm1 0.515 0.015 0.500
Tm2 0.985 0.485 0.500
O1 0.000 0.000 0.000
O2 0.750 0.250 0.500

Largest 10 diffraction maxima, by intensity, 2θ from 15° to 90°:
- 30.94°, 2.891 Å, I 100
- 37.03°, 2.428 Å, I 40
- 50.76°, 1.799 Å, I 28
- 62.97°, 1.476 Å, I 28
- 33.46°, 2.678 Å, I 23
- 53.36°, 1.717 Å, I 14
- 64.47°, 1.445 Å, I 14
- 58.25°, 1.584 Å, I 13
- 82.93°, 1.164 Å, I 10
- 87.07°, 1.119 Å, I 6

***

What is the formula in the second record?
Ac2Ge3Au2